Computed powder XRD pattern of Zn2Pd3Au3 for Cu Kα X-rays, from a PBE-relaxed structure.
Neutral-atom scattering factors, no anomalous dispersion.

The 8 most intense peaks (2θ = 10–90°), sorted by position:
2θ/deg  I (rel.)  index
23.49  255  1 1 0
35.36  1000  1 1 4
38.58  809  1 3 2
40.67  648  1 1 5
41.00  417  0 4 2
41.40  933  1 3 3
43.67  658  2 0 0
61.44  254  2 4 2

Atomic structure:
a = 4.146 Å, b = 9.300 Å, c = 13.686 Å
α = 90.00°, β = 90.00°, γ = 90.00°
Space group Cmcm (No. 63)
Symmetry-distinct sites (fractional):
Zn: 0.000 0.229 0.138 x8
Pd: 0.000 0.056 0.598 x8
Pd: 0.000 0.248 0.750 x4
Au: 0.000 0.359 0.540 x8
Au: 0.000 0.465 0.250 x4